Diffraction record for KAg2Br5. The powder X-ray diffraction pattern is calculated, not measured: it uses a cell relaxed with PBE and Cu Kα, 1.54184 Å.

Peak list (6 most intense, 2θ = 10–90°, in order of falling intensity)
2θ (°)  d [Å]  Rel. int.  (hkl)
34.02  2.635  100  2 0 0
18.18  4.879  79  0 0 4
17.43  5.088  75  1 0 1
38.84  2.319  45  2 0 4
44.23  2.048  39  2 0 6
27.42  3.253  37  0 0 6

Cell and atoms:
Cell lengths 5.2704, 5.2704, 19.5171 Å; angles 90.00, 90.00, 90.00 degrees
Space group I4/mmm (No. 139)
Asymmetric unit:
K1 0.0000 0.0000 0.0000 [2 per cell]
Ag1 0.0000 0.0000 0.3572 [4 per cell]
Br1 0.0000 0.0000 0.5000 [2 per cell]
Br2 0.0000 0.5000 0.1397 [8 per cell]